1.
Starting from a structure optimized by DFT (GGA-PBE), the powder diffraction line list of Ho2PaPd9 was simulated for a wavelength of 1.5418 Å.

Crystal structure
```
data_Ho2PaPd9
_cell_length_a 4.124
_cell_length_b 4.124
_cell_length_c 12.353
_cell_angle_alpha 90.00
_cell_angle_beta 90.00
_cell_angle_gamma 90.00
_symmetry_space_group_name_H-M 'P 1'
_symmetry_Int_Tables_number 1
loop_
_symmetry_equiv_pos_as_xyz
'x,y,z'
loop_
_atom_site_label
_atom_site_type_symbol
_atom_site_fract_x
_atom_site_fract_y
_atom_site_fract_z
Ho1 Ho 0.000 0.000 0.161
Ho2 Ho 0.000 0.000 0.839
Pa1 Pa 0.000 0.000 0.500
Pd1 Pd 0.000 0.500 0.000
Pd2 Pd 0.000 0.500 0.338
Pd3 Pd 0.000 0.500 0.662
Pd4 Pd 0.500 0.000 0.000
Pd5 Pd 0.500 0.000 0.338
Pd6 Pd 0.500 0.000 0.662
Pd7 Pd 0.500 0.500 0.168
Pd8 Pd 0.500 0.500 0.500
Pd9 Pd 0.500 0.500 0.832
```

Largest 8 diffraction maxima, by angle, 5° ≤ 2θ ≤ 70°:
| two_theta | I/Imax |
| --- | --- |
| 7.16 | 1.9 |
| 21.56 | 6.5 |
| 30.67 | 5.6 |
| 37.80 | 100.0 |
| 43.93 | 48.9 |
| 49.44 | 3.2 |
| 54.53 | 2.4 |
| 63.87 | 31.6 |

---

2.
Starting from a structure optimized by DFT (GGA-PBE), the powder diffraction line list of Cs2TcPbF6 was simulated for a wavelength of 1.5418 Å.

Crystal structure
```
data_Cs2TcPbF6
_cell_length_a 6.533
_cell_length_b 6.533
_cell_length_c 6.533
_cell_angle_alpha 60.00
_cell_angle_beta 60.00
_cell_angle_gamma 60.00
_symmetry_space_group_name_H-M 'P 1'
_symmetry_Int_Tables_number 1
loop_
_symmetry_equiv_pos_as_xyz
'x,y,z'
loop_
_atom_site_label
_atom_site_type_symbol
_atom_site_fract_x
_atom_site_fract_y
_atom_site_fract_z
Cs1 Cs 0.250 0.250 0.250
Cs2 Cs 0.750 0.750 0.750
Tc1 Tc 0.000 0.000 0.000
Pb1 Pb 0.500 0.500 0.500
F1 F 0.234 0.234 0.766
F2 F 0.234 0.766 0.234
F3 F 0.234 0.766 0.766
F4 F 0.766 0.234 0.234
F5 F 0.766 0.234 0.766
F6 F 0.766 0.766 0.234
```

Largest 8 diffraction maxima, by angle, 5° ≤ 2θ ≤ 70°:
| two_theta | I/Imax |
| --- | --- |
| 16.62 | 5.6 |
| 27.30 | 100.0 |
| 32.13 | 5.5 |
| 39.00 | 32.2 |
| 42.66 | 3.4 |
| 48.26 | 42.3 |
| 56.33 | 21.0 |
| 63.71 | 19.4 |

---

3.
Starting from a structure optimized by DFT (GGA-PBE), the powder diffraction line list of Ho4Er3Sc3 was simulated for a wavelength of 1.5418 Å.

Crystal structure
```
data_Ho4Er3Sc3
_cell_length_a 3.602
_cell_length_b 8.983
_cell_length_c 8.983
_cell_angle_alpha 89.54
_cell_angle_beta 90.00
_cell_angle_gamma 90.00
_symmetry_space_group_name_H-M 'P 1'
_symmetry_Int_Tables_number 1
loop_
_symmetry_equiv_pos_as_xyz
'x,y,z'
loop_
_atom_site_label
_atom_site_type_symbol
_atom_site_fract_x
_atom_site_fract_y
_atom_site_fract_z
Ho1 Ho 0.000 0.000 0.000
Ho2 Ho 0.000 0.255 0.255
Ho3 Ho 0.000 0.488 0.750
Ho4 Ho 0.000 0.750 0.488
Er1 Er 0.000 0.125 0.623
Er2 Er 0.000 0.623 0.125
Er3 Er 0.500 0.793 0.793
Sc1 Sc 0.500 0.294 0.956
Sc2 Sc 0.500 0.454 0.454
Sc3 Sc 0.500 0.956 0.294
```

Largest 8 diffraction maxima, by angle, 5° ≤ 2θ ≤ 70°:
| two_theta | I/Imax |
| --- | --- |
| 24.72 | 25.5 |
| 31.42 | 41.5 |
| 31.57 | 40.5 |
| 31.85 | 25.4 |
| 33.41 | 100.0 |
| 40.38 | 18.4 |
| 40.50 | 16.3 |
| 60.90 | 24.9 |

---

4.
Starting from a structure optimized by DFT (GGA-PBE), the powder diffraction line list of Li3U3GaN8 was simulated for a wavelength of 1.5418 Å.

Crystal structure
```
data_Li3U3GaN8
_cell_length_a 6.301
_cell_length_b 6.301
_cell_length_c 6.584
_cell_angle_alpha 117.46
_cell_angle_beta 117.46
_cell_angle_gamma 68.73
_symmetry_space_group_name_H-M 'P 1'
_symmetry_Int_Tables_number 1
loop_
_symmetry_equiv_pos_as_xyz
'x,y,z'
loop_
_atom_site_label
_atom_site_type_symbol
_atom_site_fract_x
_atom_site_fract_y
_atom_site_fract_z
Li1 Li 0.000 0.000 0.000
Li2 Li 0.000 0.500 0.500
Li3 Li 0.500 0.000 0.500
U1 U 0.000 0.500 0.000
U2 U 0.500 0.000 0.000
U3 U 0.500 0.500 0.500
Ga1 Ga 0.000 0.000 0.500
N1 N 0.219 0.219 0.752
N2 N 0.254 0.254 0.221
N3 N 0.258 0.710 0.262
N4 N 0.290 0.742 0.738
N5 N 0.710 0.258 0.262
N6 N 0.742 0.290 0.738
N7 N 0.746 0.746 0.779
N8 N 0.781 0.781 0.248
```

Largest 8 diffraction maxima, by angle, 5° ≤ 2θ ≤ 70°:
| two_theta | I/Imax |
| --- | --- |
| 17.70 | 100.0 |
| 29.98 | 50.6 |
| 32.63 | 35.2 |
| 32.84 | 36.3 |
| 37.30 | 40.3 |
| 41.88 | 15.4 |
| 43.66 | 17.2 |
| 50.95 | 14.2 |